For InBi4H2, a crystal structure in Alexandria, relaxed with GGA-PBE gives the theoretical X-ray powder pattern in this record (Cu Kα (weighted mean of Kα1 and Kα2)).

Top 10 peaks for 2θ = 5–70°, in order of rising 2θ:
- 2θ 22.2, I 28, (0 0 2)
- 2θ 24.5, I 100, (0 1 -2)
- 2θ 27.6, I 43, (1 0 0)
- 2θ 28.5, I 40, (-1 1 1)
- 2θ 29.4, I 100, (0 2 1)
- 2θ 31.4, I 40, (1 -1 1)
- 2θ 33.2, I 32, (1 1 0)
- 2θ 34.7, I 45, (-1 2 1)
- 2θ 37.3, I 35, (0 1 3)
- 2θ 39.9, I 28, (0 3 -1)

Crystal structure
```
data_InBi4H2
_chemical_formula_sum 'In1 Bi4 H2'
_cell_length_a 3.3581
_cell_length_b 7.0493
_cell_length_c 8.1820
_cell_angle_alpha 93.71
_cell_angle_beta 99.54
_cell_angle_gamma 102.10
_symmetry_space_group_name_H-M 'P -1'
_symmetry_Int_Tables_number 2
loop_
_symmetry_equiv_pos_as_xyz
'x,y,z'
'-x,-y,-z'
loop_
_atom_site_label
_atom_site_type_symbol
_atom_site_fract_x
_atom_site_fract_y
_atom_site_fract_z
_atom_site_occupancy
In1 In 0.0000 0.0000 0.0000 1
Bi1 Bi 0.0457 0.8324 0.3391 1
Bi2 Bi 0.2277 0.6008 0.8118 1
H1 H 0.1658 0.6899 0.5964 1
```